Structure and simulated XRD peak list of Mg2Sc2Cd2AgAu (a GGA-PBE-relaxed structure; Cu Kα, 1.54184 Å).

Atomic structure:
Cell lengths 4.8322, 4.8322, 6.8236 Å; angles 90.00, 90.00, 90.00 degrees
Space group P-4m2 (No. 115)
One atom of each set of equivalent atoms:
Mg: 0.0000 0.5000 0.2487 (multiplicity 2)
Sc: 0.0000 0.5000 0.7558 (multiplicity 2)
Cd: 0.0000 0.0000 0.0000 (multiplicity 1)
Cd: 0.5000 0.5000 0.5000 (multiplicity 1)
Ag: 0.0000 0.0000 0.5000 (multiplicity 1)
Au: 0.5000 0.5000 0.0000 (multiplicity 1)

Top 8 peaks for 2θ from 10° to 90°, in order of falling intensity:
h k l, two_theta, Rel. int.
2 0 0, 37.2, 100
1 1 0, 26.1, 43
3 1 2, 67.1, 33
2 2 0, 53.7, 17
1 1 4, 60.6, 17
2 0 2, 46.0, 13
4 0 0, 79.4, 10
3 1 4, 85.2, 8